The following is a theoretical powder diffractogram of IrOs2Ru2. It was derived from a crystal structure in Alexandria, relaxed with GGA-PBE, using λ = 1.5418 Å (Cu Kα).

```
20
Lattice="6.659 0.000 0.000 0.000 5.440 0.000 -4.462 0.000 7.834" Properties=species:S:1:pos:R:3 pbc="T T T"
Ir 1.115 0.688 0.394
Ir -1.116 2.031 4.312
Ir 3.313 3.408 3.523
Ir 1.082 4.751 7.440
Os 1.116 3.398 0.395
Os -1.115 4.762 4.313
Os -1.127 3.400 6.663
Os 1.104 4.760 2.746
Os 1.093 0.680 5.089
Os 3.324 2.040 1.171
Os 3.312 0.678 3.522
Os 1.081 2.042 7.439
Ru -1.110 3.399 1.958
Ru -3.341 4.761 5.875
Ru -1.120 0.681 6.663
Ru 1.111 2.039 2.746
Ru 1.086 3.401 5.088
Ru 3.317 4.759 1.171
Ru 5.538 0.679 1.960
Ru 3.307 2.041 5.877
```

Peak list (12 most intense, 5 to 70 degrees two-theta, most intense first)
| d (Å) | 2θ/deg | Rel. int. | hkl |
| --- | --- | --- | --- |
| 2.219 | 40.66 | 100 | 1 2 1 |
| 1.924 | 47.25 | 33 | 2 2 -3 |
| 1.358 | 69.18 | 21 | 0 2 5 |
| 1.917 | 47.41 | 16 | 2 0 2 |
| 1.360 | 69.05 | 11 | 0 4 0 |
| 4.412 | 20.13 | 3 | 1 0 -2 |
| 3.917 | 22.70 | 2 | 0 0 2 |
| 2.504 | 35.86 | 1 | 1 2 -1 |
| 4.148 | 21.42 | 1 | 1 1 -1 |
| 2.893 | 30.91 | 1 | 2 0 0 |
| 2.098 | 43.12 | 1 | 2 2 -1 |
| 3.427 | 26.00 | 1 | 1 1 -2 |